Diffraction record for Fe4O5F3. The powder diffraction line list is simulated, not measured: it uses a DFT-relaxed cell (PBE+U, Alexandria) and Cu Kα X-rays.
Kinematic intensities with the Lorentz-polarization factor, no thermal factor.

Crystal structure
```
12
Lattice="6.0005 0.0000 0.0000 0.0000 3.1846 3.5495 0.0000 -3.1846 3.5495" Properties=species:S:1:pos:R:3 pbc="T T T"
Fe 0.0000 0.0000 0.0000
Fe 1.4418 0.0000 3.3231
Fe 3.0003 0.0000 6.9007
Fe 4.5587 0.0000 3.3231
O 0.0000 0.0000 2.0871
O 1.5408 -1.9634 3.3940
O 1.5408 1.9634 3.3940
O 4.4597 -1.9634 3.3940
O 4.4597 1.9634 3.3940
F 0.0000 0.0000 4.7483
F 3.0003 0.0000 2.0221
F 3.0003 0.0000 4.6975
```

Main lines, by angle (10 to 90 degrees two-theta):
2theta	I_rel
25.09	100
28.02	85
35.41	86
37.96	18
39.32	14
51.22	61
51.49	17
54.50	46
61.85	14
66.92	38